Structure and simulated PXRD pattern of Ac5Cd4Pd (a crystal structure in Alexandria, relaxed with PBE; λ = 1.5418 Å (Cu Kα)).

Crystal structure
Lattice parameters (Å, degrees): 4.006 4.006 20.272 90.00 90.00 90.00
Space group P4/mmm (No. 123)
Asymmetric unit:
Ac 0.000 0.000 0.000
Ac 0.000 0.000 0.205
Ac 0.000 0.000 0.412
Cd 0.500 0.500 0.103
Cd 0.500 0.500 0.306
Pd 0.500 0.500 0.500

Principal peaks in the range 2θ = 10–90°, sorted by position:
d/Å, Position (°2θ), Rel. int., index
4.006, 22.2, 12, 1 0 0
2.850, 31.4, 100, 1 0 5
2.833, 31.6, 52, 1 1 0
2.027, 44.7, 8, 0 0 10
2.003, 45.3, 19, 2 0 0
1.649, 55.8, 17, 1 1 10
1.639, 56.1, 39, 2 1 5
1.425, 65.5, 10, 2 0 10
1.268, 74.9, 8, 3 0 5
1.267, 75.0, 9, 3 1 0